Diffraction record for Y4NiRu3. The powder XRD pattern is simulated, not measured: it uses a structure optimized by DFT (PBE) and copper Kα.

Top 10 peaks for 2θ from 15° to 90°, by intensity:
37.34 deg, I = 100
37.19 deg, I = 51
67.14 deg, I = 34
53.60 deg, I = 17
67.44 deg, I = 17
79.61 deg, I = 10
54.06 deg, I = 8
79.24 deg, I = 5
19.49 deg, I = 1
26.99 deg, I = 1

Cell: 7.5981 7.5981 7.5981 Å, 142.89 142.89 53.49°
Positions (direct):
1 Y 0.1260 0.6260 0.5000
2 Y 0.3740 0.8740 0.5000
3 Y 0.6260 0.1260 0.5000
4 Y 0.8740 0.3740 0.5000
5 Ni 0.0000 0.0000 0.0000
6 Ru 0.2501 0.2501 0.0000
7 Ru 0.5000 0.5000 0.0000
8 Ru 0.7499 0.7499 0.0000